For Sc6PdPt5, a PBE-relaxed structure gives the calculated powder diffractogram in this record (a wavelength of 1.5418 Å).
Peak positions follow from Bragg's law for the DFT cell and can differ from measured ones.

Top 10 peaks for 10° ≤ 2θ ≤ 90°, in order of rising 2θ:
2θ/deg	intensity	(hkl)
26.7	45	1 0 1
26.9	44	1 0 -2
27.5	42	0 2 0
38.2	100	2 0 -1
38.7	97	1 2 1
38.8	96	1 2 -2
47.7	40	2 2 -1
69.3	34	3 2 0
69.6	34	3 2 -3
70.5	33	2 4 -1

Cell and atoms:
Unit cell a=4.7082 b=6.4871 c=7.4233 alpha=90.00 beta=108.06 gamma=90.00
Space group P2/m (No. 10)
One atom of each set of equivalent atoms:
Sc  0.0000  0.2482  0.0000 (multiplicity 2)
Sc  0.3326  0.2499  0.6657 (multiplicity 4)
Pd  0.5000  0.5000  0.0000 (multiplicity 1)
Pt  0.1646  0.5000  0.3273 (multiplicity 2)
Pt  0.1686  0.0000  0.3372 (multiplicity 2)
Pt  0.5000  0.0000  0.0000 (multiplicity 1)

---

For ScPd3Pt, a PBE-relaxed structure gives the calculated powder diffractogram in this record (a wavelength of 1.5418 Å).
Peak positions follow from Bragg's law for the DFT cell and can differ from measured ones.

Top 10 peaks for 10° ≤ 2θ ≤ 90°, in order of rising 2θ:
2θ/deg	intensity	(hkl)
12.4	17	2 0 0
18.2	15	2 0 -1
38.7	100	5 1 0
39.0	100	1 1 -2
45.0	33	6 0 -2
45.3	64	0 2 0
65.7	21	6 2 -2
65.9	21	4 2 2
79.1	24	7 1 -4
79.3	12	1 3 -2

Cell and atoms:
Unit cell a=14.5695 b=4.0066 c=5.6572 alpha=90.00 beta=101.53 gamma=90.00
Space group C2/m (No. 12)
One atom of each set of equivalent atoms:
Sc  0.1117  0.0000  0.0555 (multiplicity 4)
Pd  0.0008  0.5000  0.2504 (multiplicity 4)
Pd  0.0999  0.0000  0.5505 (multiplicity 4)
Pd  0.1987  0.5000  0.3483 (multiplicity 4)
Pt  0.1958  0.5000  0.8434 (multiplicity 4)

---

For ScPd5Pt, a PBE-relaxed structure gives the calculated powder diffractogram in this record (a wavelength of 1.5418 Å).
Peak positions follow from Bragg's law for the DFT cell and can differ from measured ones.

Top 10 peaks for 10° ≤ 2θ ≤ 90°, in order of rising 2θ:
2θ/deg	intensity	(hkl)
19.4	52	0 0 2
34.0	40	0 2 0
39.5	48	0 0 4
39.8	85	1 2 1
41.0	100	2 0 2
49.2	44	1 2 3
54.3	15	2 2 2
65.6	27	2 1 5
66.9	18	3 2 1
85.8	23	2 4 2

Cell and atoms:
Unit cell a=5.0272 b=5.2811 c=9.1263 alpha=90.00 beta=90.00 gamma=90.00
Space group Imm2 (No. 44)
One atom of each set of equivalent atoms:
Sc  0.0000  0.0000  0.0000 (multiplicity 2)
Pd  0.0000  0.0000  0.7330 (multiplicity 2)
Pd  0.0000  0.2547  0.2430 (multiplicity 4)
Pd  0.2481  0.5000  0.9744 (multiplicity 4)
Pt  0.0000  0.5000  0.6912 (multiplicity 2)

---

For ScPd3Pt2, a PBE-relaxed structure gives the calculated powder diffractogram in this record (a wavelength of 1.5418 Å).
Peak positions follow from Bragg's law for the DFT cell and can differ from measured ones.

Top 10 peaks for 10° ≤ 2θ ≤ 90°, in order of rising 2θ:
2θ/deg	intensity	(hkl)
22.0	13	1 1 0
36.5	28	0 3 1
39.2	41	2 0 0
41.6	100	1 3 1
41.8	55	1 0 2
54.6	17	2 3 1
65.9	17	0 3 3
72.7	19	3 3 1
79.5	20	2 3 3
80.8	16	1 6 2

Cell and atoms:
Unit cell a=4.5921 b=8.5461 c=4.9024 alpha=90.00 beta=90.00 gamma=90.00
Space group Pmmn (No. 59, origin choice 2)
One atom of each set of equivalent atoms:
Sc  0.2500  0.2500  0.0868 (multiplicity 2)
Pd  0.2500  0.0796  0.5890 (multiplicity 4)
Pd  0.2500  0.7500  0.5759 (multiplicity 2)
Pt  0.2500  0.5807  0.0913 (multiplicity 4)